Entry 1:
Starting from a crystal structure in Alexandria, relaxed with GGA-PBE, the powder diffractogram of Pa4CoGe was simulated for copper Kα.
Neutral-atom scattering factors, no anomalous dispersion.

Atomic structure:
Cell: 6.826 6.826 5.567 Å, 90.00 90.00 90.00°
Space group P4/mcc (No. 124)
Symmetry-distinct sites (fractional):
Pa: 0.139 0.340 0.000 [8 per cell]
Co: 0.000 0.000 0.250 [2 per cell]
Ge: 0.500 0.500 0.250 [2 per cell]

Main lines, sorted by position (2θ = 10–80°):
two_theta  d/Å  I/Imax  index
18.38  4.827  6  1 1 0
32.16  2.783  17  0 0 2
33.48  2.677  100  2 1 1
37.29  2.411  18  1 1 2
41.86  2.158  33  3 1 0
50.95  1.792  5  3 2 1
53.73  1.706  12  4 0 0
57.26  1.609  5  3 3 0
58.17  1.586  28  2 1 3
64.00  1.455  12  4 0 2
67.22  1.393  16  0 0 4
77.19  1.236  16  5 2 1

Entry 2:
Starting from a crystal structure in Alexandria, relaxed with GGA-PBE, the powder diffractogram of Pa4CoGe8 was simulated for copper Kα.
Neutral-atom scattering factors, no anomalous dispersion.

Atomic structure:
Cell: 4.042 4.101 15.873 Å, 90.00 90.00 90.00°
Space group Pmm2 (No. 25)
Symmetry-distinct sites (fractional):
Pa: 0.000 0.000 0.000 [1 per cell]
Pa: 0.000 0.500 0.494 [1 per cell]
Pa: 0.500 0.000 0.787 [1 per cell]
Pa: 0.500 0.500 0.284 [1 per cell]
Co: 0.000 0.500 0.705 [1 per cell]
Ge: 0.000 0.000 0.332 [1 per cell]
Ge: 0.000 0.000 0.631 [1 per cell]
Ge: 0.000 0.500 0.143 [1 per cell]
Ge: 0.000 0.500 0.850 [1 per cell]
Ge: 0.500 0.000 0.142 [1 per cell]
Ge: 0.500 0.000 0.444 [1 per cell]
Ge: 0.500 0.500 0.631 [1 per cell]
Ge: 0.500 0.500 0.953 [1 per cell]

Main lines, sorted by position (2θ = 10–80°):
two_theta  d/Å  I/Imax  index
22.40  3.970  22  0 0 4
24.72  3.602  28  1 0 2
33.88  2.646  15  0 0 6
35.50  2.529  100  1 1 3
35.77  2.510  22  0 1 5
40.76  2.214  18  1 0 6
44.17  2.051  18  0 2 0
44.85  2.021  17  2 0 0
51.28  1.782  18  1 0 8
56.82  1.620  16  0 1 9
61.66  1.504  14  1 2 6
75.15  1.264  14  2 1 9